Cs13Nb2In6As10: calculated powder diffraction line list (Cu Ka), based on a DFT-relaxed cell (PBE, the Materials Project).

Most intense lines, 2θ from 5° to 70°, sorted by position:
2θ (°)	Rel. int.
20.27	59
25.65	37
26.74	44
28.09	64
28.40	65
28.57	82
28.75	45
29.25	100
29.73	79
32.16	45

Structural model:
```
31
Lattice="9.922 0.000 0.000 4.276 9.012 0.000 2.351 0.746 14.049" Properties=species:S:1:pos:R:3 pbc="T T T"
Cs 0.000 0.000 0.000
Cs 4.272 6.197 9.067
Cs 6.464 5.847 12.854
Cs 4.612 2.096 8.314
Cs 5.922 1.406 12.366
Cs 5.824 3.359 2.406
Cs 8.511 6.953 7.998
Cs 8.038 2.804 6.051
Cs 10.725 6.399 11.643
Cs 10.627 8.352 1.683
Cs 11.937 7.662 5.735
Cs 10.085 3.910 1.195
Cs 12.278 3.560 4.982
Nb 4.994 7.013 3.164
Nb 11.555 2.745 10.885
In 6.064 8.823 5.762
In 2.861 0.650 2.447
In 8.287 6.487 4.122
In 8.262 3.271 9.927
In 13.688 9.107 11.602
In 10.486 0.935 8.287
As 13.461 3.931 11.808
As 3.088 5.827 2.241
As 6.447 9.248 10.485
As 5.713 6.026 5.393
As 6.994 6.893 1.590
As 4.420 0.336 4.897
As 12.129 9.422 9.152
As 9.556 2.865 12.459
As 10.836 3.732 8.656
As 10.102 0.510 3.564
```

ZnGeAs2: calculated powder diffraction line list (Cu Ka), based on a DFT-relaxed cell (PBE, the Materials Project).

Most intense lines, 2θ from 5° to 70°, sorted by position:
2θ (°)	Rel. int.
26.93	100
44.50	25
44.80	49
52.79	30
53.31	15
64.75	8
65.68	4

Structural model:
```
8
Lattice="-2.879 2.879 5.686 2.879 -2.879 5.686 2.879 2.879 -5.686" Properties=species:S:1:pos:R:3 pbc="T T T"
Zn 0.000 0.000 0.000
Zn 0.000 2.879 2.843
Ge 2.879 0.000 2.843
Ge 0.000 0.000 5.686
As 1.440 1.442 -1.422
As 4.317 1.440 1.422
As 1.440 1.437 4.265
As -1.437 1.440 7.108
```

LiCuN: calculated powder diffraction line list (Cu Ka), based on a DFT-relaxed cell (PBE, the Materials Project).

Most intense lines, 2θ from 5° to 70°, sorted by position:
2θ (°)	Rel. int.
22.59	100
31.13	36
38.80	58
44.60	38
46.12	17
50.55	39
56.69	13
64.90	11
66.09	21
69.67	13

Structural model:
```
3
Lattice="2.873 0.000 0.000 0.000 2.873 0.000 0.000 0.000 3.937" Properties=species:S:1:pos:R:3 pbc="T T T"
Li 0.000 0.000 0.000
Cu 1.437 1.437 1.968
N 0.000 0.000 1.968
```

Tb5Co19P12: calculated powder diffraction line list (Cu Ka), based on a DFT-relaxed cell (PBE, the Materials Project).

Most intense lines, 2θ from 5° to 70°, sorted by position:
2θ (°)	Rel. int.
25.72	10
28.49	10
29.81	12
35.63	12
38.77	100
39.78	46
49.60	21
52.92	19
59.73	11
65.39	10

Structural model:
```
36
Lattice="11.987 0.000 0.000 -5.994 10.381 0.000 0.000 0.000 3.676" Properties=species:S:1:pos:R:3 pbc="T T T"
Tb -1.125 1.948 0.000
Tb 2.250 0.000 0.000
Tb 0.000 6.921 1.838
Tb 5.994 3.460 1.838
Tb 4.869 8.433 0.000
Co 0.000 0.000 1.838
Co -3.312 5.737 1.838
Co -4.284 7.420 0.000
Co -1.398 5.022 0.000
Co -2.662 8.301 1.838
Co 0.136 3.925 1.838
Co 1.710 2.961 0.000
Co -0.946 9.081 0.000
Co 3.331 2.080 1.838
Co 2.681 4.644 1.838
Co 5.048 1.300 0.000
Co 2.344 6.659 0.000
Co 6.625 0.000 1.838
Co 2.527 8.536 1.838
Co 4.595 5.360 0.000
Co 8.568 0.000 0.000
Co 8.520 1.845 1.838
Co 6.129 6.456 1.838
Co 8.338 3.722 0.000
P -2.211 3.829 1.838
P -4.908 8.500 1.838
P -2.127 7.121 0.000
P 1.086 1.881 1.838
P 0.891 4.979 0.000
P 4.421 0.000 1.838
P 3.866 3.261 0.000
P 1.237 8.663 0.000
P 3.783 6.552 1.838
P 7.230 1.718 0.000
P 9.815 0.000 1.838
P 6.884 5.403 0.000
```

TmBPt2: calculated powder diffraction line list (Cu Ka), based on a DFT-relaxed cell (PBE, the Materials Project).

Most intense lines, 2θ from 5° to 70°, sorted by position:
2θ (°)	Rel. int.
19.29	4
33.75	14
33.87	44
35.64	100
40.88	75
48.57	10
58.01	26
61.60	19
65.22	17
68.90	15

Structural model:
```
12
Lattice="5.312 0.000 0.000 -2.656 4.600 0.000 0.000 0.000 7.939" Properties=species:S:1:pos:R:3 pbc="T T T"
Tm -1.328 2.300 1.323
Tm 2.656 0.000 3.969
Tm 1.328 2.300 6.616
B -1.328 2.300 5.293
B 2.656 0.000 0.000
B 1.328 2.300 2.646
Pt 0.000 1.395 3.969
Pt -1.448 3.903 6.616
Pt 1.208 0.697 1.323
Pt 1.448 3.903 1.323
Pt 4.104 0.697 6.616
Pt 2.656 3.206 3.969
```

Sc2Te3: calculated powder diffraction line list (Cu Ka), based on a DFT-relaxed cell (PBE, the Materials Project).

Most intense lines, 2θ from 5° to 70°, sorted by position:
2θ (°)	Rel. int.
25.92	55
26.51	52
30.32	100
30.43	50
42.65	19
43.50	73
44.17	17
50.92	17
53.29	19
54.59	18

Structural model:
```
5
Lattice="-2.050 2.937 6.360 2.050 -2.937 6.360 2.050 2.937 -6.360" Properties=species:S:1:pos:R:3 pbc="T T T"
Sc 0.000 0.000 2.098
Sc 0.000 0.000 10.622
Te 2.050 0.000 0.000
Te 2.050 0.000 4.173
Te 0.000 2.937 2.187
```

Rb2PH3SeO8: calculated powder diffraction line list (Cu Ka), based on a DFT-relaxed cell (PBE, the Materials Project).

Most intense lines, 2θ from 5° to 70°, sorted by position:
2θ (°)	Rel. int.
22.64	45
23.36	69
25.38	26
25.66	27
26.10	100
26.70	21
32.04	17
32.28	21
38.13	17
42.53	17

Structural model:
```
30
Lattice="7.716 0.000 0.000 1.435 7.618 0.000 0.029 0.104 7.853" Properties=species:S:1:pos:R:3 pbc="T T T"
Rb 1.181 2.218 1.434
Rb 3.291 1.760 5.415
Rb 5.888 5.962 2.438
Rb 7.998 5.504 6.419
P 1.823 5.788 2.403
P 7.356 1.934 5.451
H 0.014 0.052 3.927
H 2.975 6.710 0.722
H 2.883 4.761 4.063
H 4.575 3.809 0.000
H 6.297 2.960 3.791
H 6.204 1.012 7.131
Se 4.162 5.805 6.322
Se 5.018 1.917 1.531
O 0.564 2.563 6.449
O 0.316 1.159 4.295
O 2.876 6.789 1.734
O 2.716 4.637 3.069
O 3.287 7.042 7.035
O 3.108 4.694 5.651
O 4.136 2.709 0.283
O 3.914 1.313 2.607
O 5.265 6.409 5.247
O 5.044 5.012 7.571
O 6.072 3.027 2.202
O 5.893 0.680 0.818
O 6.463 3.085 4.785
O 6.303 0.933 6.119
O 8.863 6.563 3.558
O 8.615 5.159 1.405
```

NbCr3: calculated powder diffraction line list (Cu Ka), based on a DFT-relaxed cell (PBE, the Materials Project).

Most intense lines, 2θ from 5° to 70°, sorted by position:
2θ (°)	Rel. int.
19.93	5
27.33	8
36.22	2
39.77	3
40.49	27
41.68	100
52.16	25
59.88	2
67.54	1
68.05	21

Structural model:
```
4
Lattice="-1.753 1.753 4.455 1.753 -1.753 4.455 1.753 1.753 -4.455" Properties=species:S:1:pos:R:3 pbc="T T T"
Nb 0.000 0.000 0.000
Cr 1.753 0.000 2.228
Cr 0.000 0.000 4.455
Cr 0.000 1.753 2.228
```